Entry 1:
Structure and computed XRD peak list of Li4Cr3Fe5O16 (a DFT-relaxed cell (GGA+U, Alexandria); λ = 1.5418 Å (Cu Kα)).
No peak broadening, texture or thermal motion is included.

Main lines, low angle first (2θ = 10–80°):
- hkl 0 0 2, 2θ = 18.57°, I 100
- hkl 0 1 1, 2θ = 19.55°, I 29
- hkl 1 1 1, 2θ = 19.77°, I 52
- hkl 0 1 -1, 2θ = 19.92°, I 76
- hkl 1 2 2, 2θ = 35.59°, I 30
- hkl 1 -1 2, 2θ = 36.07°, I 28
- hkl 2 1 -2, 2θ = 36.22°, I 43
- hkl 2 0 -1, 2θ = 36.64°, I 40
- hkl 2 2 3, 2θ = 45.56°, I 32
- hkl 2 2 -5, 2θ = 61.18°, I 23

Crystal structure
```
data_Li4Cr3Fe5O16
_cell_length_a 5.8278
_cell_length_b 5.8706
_cell_length_c 9.5558
_cell_angle_alpha 88.89
_cell_angle_beta 89.79
_cell_angle_gamma 60.42
_space_group_name_H-M_alt 'P 1'
_space_group_IT_number 1
loop_
_space_group_symop_operation_xyz
'x,y,z'
loop_
_atom_site_label
_atom_site_type_symbol
_atom_site_fract_x
_atom_site_fract_y
_atom_site_fract_z
Li1 Li 0.0000 0.0000 0.0000
Li2 Li 0.0044 0.0011 0.4975
Li3 Li 0.3400 0.3316 0.8995
Li4 Li 0.6782 0.6719 0.3951
Cr1 Cr 0.1710 0.6660 0.2150
Cr2 Cr 0.3409 0.8351 0.7140
Cr3 Cr 0.8385 0.8261 0.7204
Fe1 Fe 0.1695 0.1771 0.2171
Fe2 Fe 0.3465 0.3346 0.4909
Fe3 Fe 0.6635 0.6650 0.9924
Fe4 Fe 0.6648 0.1720 0.2173
Fe5 Fe 0.8318 0.3399 0.7158
O1 O 0.0007 0.0074 0.3110
O2 O 0.0042 0.9919 0.8136
O3 O 0.0469 0.4992 0.3451
O4 O 0.1779 0.1563 0.6045
O5 O 0.1818 0.6744 0.6076
O6 O 0.3300 0.8208 0.1034
O7 O 0.3417 0.3324 0.1109
O8 O 0.4941 0.4812 0.3318
O9 O 0.4990 0.0432 0.3355
O10 O 0.5161 0.5254 0.8377
O11 O 0.5169 0.9625 0.8379
O12 O 0.6740 0.6821 0.6067
O13 O 0.6836 0.1536 0.6018
O14 O 0.8319 0.3201 0.1042
O15 O 0.8400 0.8376 0.1123
O16 O 0.9667 0.5318 0.8445
```



Entry 2:
Structure and computed XRD peak list of CsAlNiF6 (a DFT-relaxed cell (GGA+U, Alexandria); λ = 1.5418 Å (Cu Kα)).
No peak broadening, texture or thermal motion is included.

Main lines, low angle first (2θ = 10–80°):
- hkl 1 1 2, 2θ = 24.68°, I 74
- hkl 2 0 0, 2θ = 24.95°, I 28
- hkl 1 2 1, 2θ = 28.84°, I 100
- hkl 0 1 3, 2θ = 28.96°, I 35
- hkl 1 0 3, 2θ = 29.08°, I 48
- hkl 2 1 1, 2θ = 29.20°, I 68
- hkl 2 2 0, 2θ = 35.18°, I 25
- hkl 2 1 3, 2θ = 38.60°, I 26
- hkl 2 2 4, 2θ = 50.60°, I 57
- hkl 1 1 6, 2θ = 57.09°, I 28

Crystal structure
```
data_CsAlNiF6
_cell_length_a 7.1369
_cell_length_b 7.2977
_cell_length_c 10.2031
_cell_angle_alpha 90.00
_cell_angle_beta 90.00
_cell_angle_gamma 90.00
_space_group_name_H-M_alt 'I m m a'
_space_group_IT_number 74
_space_group_name_Hall '-I 2b 2'
loop_
_atom_site_label
_atom_site_type_symbol
_atom_site_fract_x
_atom_site_fract_y
_atom_site_fract_z
Cs1 Cs 0.0000 0.2500 0.1227
Al1 Al 0.2500 0.2500 0.7500
Ni1 Ni 0.0000 0.0000 0.5000
F1 F 0.0000 0.2500 0.4195
F2 F 0.0000 0.2500 0.7988
F3 F 0.2075 0.0729 0.6286
```